Record 1
Structure and simulated PXRD pattern of Ho4U2Ru5 (the PBE geometry in Alexandria; Cu Kα (weighted mean of Kα1 and Kα2)).
Neutral-atom scattering factors, no anomalous dispersion.

Top 10 peaks for 2θ from 5° to 70°, in order of rising 2θ:
2θ (°), Rel. int., hkl
34.51, 42.8, 3 3 0
34.86, 81.1, 1 3 2
35.38, 57.3, 1 6 1
35.89, 100.0, 3 2 1
36.16, 46.7, 2 0 2
37.02, 32.1, 1 7 0
40.55, 22.2, 1 5 2
41.67, 21.8, 4 0 0
56.56, 24.3, 3 2 3
61.20, 28.9, 0 0 4

Cell lengths 8.6830, 17.7050, 6.0576 Å; angles 90.00, 90.00, 90.00 degrees
Space group Ibam (No. 72)
Asymmetric unit:
Ho 0.1195 0.1357 0.0000 (multiplicity 8)
Ho 0.2458 0.0562 0.5000 (multiplicity 8)
U 0.0000 0.3045 0.2500 (multiplicity 8)
Ru 0.0000 0.0000 0.2500 (multiplicity 4)
Ru 0.0631 0.4182 0.5000 (multiplicity 8)
Ru 0.1732 0.2229 0.5000 (multiplicity 8)

Record 2
Structure and simulated PXRD pattern of AcPr2Pu (the PBE geometry in Alexandria; Cu Kα (weighted mean of Kα1 and Kα2)).
Neutral-atom scattering factors, no anomalous dispersion.

Top 8 peaks for 2θ from 5° to 70°, in order of rising 2θ:
2θ (°), Rel. int., hkl
21.23, 5.9, 2 0 0
30.20, 100.0, 2 2 0
37.21, 2.1, 2 2 2
43.23, 19.1, 4 0 0
48.64, 3.1, 4 2 0
53.64, 40.9, 4 2 2
62.79, 12.8, 4 4 0
67.08, 1.6, 6 0 0

Cell lengths 8.3712, 8.3712, 8.3712 Å; angles 90.00, 90.00, 90.00 degrees
Space group Fm-3m (No. 225)
Asymmetric unit:
Ac 0.0000 0.0000 0.0000 (multiplicity 4)
Pr 0.2500 0.2500 0.2500 (multiplicity 8)
Pu 0.0000 0.0000 0.5000 (multiplicity 4)

Record 3
Structure and simulated PXRD pattern of Nd6In2Ni (the PBE geometry in Alexandria; Cu Kα (weighted mean of Kα1 and Kα2)).
Neutral-atom scattering factors, no anomalous dispersion.

Top 10 peaks for 2θ from 5° to 70°, in order of rising 2θ:
2θ (°), Rel. int., hkl
30.30, 84.5, 2 1 0
30.75, 100.0, 1 1 1
32.88, 69.9, 2 0 1
34.48, 35.2, 3 0 0
38.62, 32.5, 2 1 1
47.80, 17.4, 0 0 2
48.38, 21.8, 3 1 1
56.83, 32.1, 3 2 1
57.65, 27.4, 2 1 2
59.47, 17.0, 4 1 1

Cell lengths 9.0110, 9.0110, 3.8054 Å; angles 90.00, 90.00, 120.00 degrees
Space group P-62m (No. 189)
Asymmetric unit:
Nd 0.0000 0.4016 0.0000 (multiplicity 3)
Nd 0.0000 0.7625 0.5000 (multiplicity 3)
In 0.3333 0.6667 0.5000 (multiplicity 2)
Ni 0.0000 0.0000 0.0000 (multiplicity 1)

Record 4
Structure and simulated PXRD pattern of BaAg5Cl11 (the PBE geometry in Alexandria; Cu Kα (weighted mean of Kα1 and Kα2)).
Neutral-atom scattering factors, no anomalous dispersion.

Top 10 peaks for 2θ from 5° to 70°, in order of rising 2θ:
2θ (°), Rel. int., hkl
13.87, 81.4, 1 1 -1
17.50, 63.7, 0 2 1
19.56, 34.4, 2 0 -1
22.88, 63.4, 1 3 -1
24.69, 94.6, 2 2 0
33.47, 100.0, 2 4 0
35.07, 46.8, 3 3 -1
36.23, 59.2, 0 0 3
42.96, 34.0, 2 4 -3
46.49, 41.3, 1 3 3

Cell lengths 9.2269, 13.8389, 8.1225 Å; angles 90.00, 113.62, 90.00 degrees
Space group C2/m (No. 12)
Asymmetric unit:
Ba 0.0000 0.0000 0.0000 (multiplicity 2)
Ag 0.0000 0.5000 0.0000 (multiplicity 2)
Ag 0.2064 0.1472 0.6244 (multiplicity 8)
Cl 0.0000 0.0000 0.5000 (multiplicity 2)
Cl 0.0441 0.5000 0.3129 (multiplicity 4)
Cl 0.1589 0.1785 0.3113 (multiplicity 8)
Cl 0.2367 0.3719 0.0587 (multiplicity 8)

Record 5
Structure and simulated PXRD pattern of Ru3AuI (the PBE geometry in Alexandria; Cu Kα (weighted mean of Kα1 and Kα2)).
Neutral-atom scattering factors, no anomalous dispersion.

Top 10 peaks for 2θ from 5° to 70°, in order of rising 2θ:
2θ (°), Rel. int., hkl
17.71, 42.9, 1 0 0
25.14, 59.5, 1 1 0
30.92, 28.2, 1 1 1
35.86, 100.0, 2 0 0
40.26, 22.8, 2 1 0
44.30, 27.1, 2 1 1
51.61, 70.0, 2 2 0
55.00, 11.6, 3 0 0
58.25, 12.1, 3 1 0
64.44, 23.8, 2 2 2

Cell lengths 5.0089, 5.0089, 5.0089 Å; angles 90.00, 90.00, 90.00 degrees
Space group Pm-3m (No. 221)
Asymmetric unit:
Ru 0.0000 0.0000 0.5000 (multiplicity 3)
Au 0.0000 0.0000 0.0000 (multiplicity 1)
I 0.5000 0.5000 0.5000 (multiplicity 1)

Record 6
Structure and simulated PXRD pattern of CsCd4 (the PBE geometry in Alexandria; Cu Kα (weighted mean of Kα1 and Kα2)).
Neutral-atom scattering factors, no anomalous dispersion.

Top 10 peaks for 2θ from 5° to 70°, in order of rising 2θ:
2θ (°), Rel. int., hkl
28.16, 100.0, 1 1 2
28.55, 75.0, 1 0 3
33.43, 91.9, 2 0 0
39.23, 36.7, 1 1 4
42.63, 19.0, 1 0 5
44.52, 43.6, 2 1 3
48.00, 32.3, 2 2 0
53.40, 21.3, 1 1 6
55.23, 17.4, 2 1 5
56.58, 27.0, 3 1 2

Cell lengths 5.3610, 5.3610, 11.5452 Å; angles 90.00, 90.00, 90.00 degrees
Space group I4/mmm (No. 139)
Asymmetric unit:
Cs 0.0000 0.0000 0.0000 (multiplicity 2)
Cd 0.0000 0.0000 0.3705 (multiplicity 4)
Cd 0.0000 0.5000 0.2500 (multiplicity 4)

Record 7
Structure and simulated PXRD pattern of Tm6Pd5Ru (the PBE geometry in Alexandria; Cu Kα (weighted mean of Kα1 and Kα2)).
Neutral-atom scattering factors, no anomalous dispersion.

Top 10 peaks for 2θ from 5° to 70°, in order of rising 2θ:
2θ (°), Rel. int., hkl
36.75, 51.0, 2 0 -1
37.02, 100.0, 1 2 1
52.81, 9.0, 2 0 2
53.10, 8.8, 2 0 -4
53.76, 8.5, 0 4 0
66.22, 9.1, 3 2 0
66.33, 8.9, 1 2 4
66.41, 9.0, 3 2 -3
66.52, 8.8, 1 2 -5
66.90, 17.4, 2 4 -1

Cell lengths 4.8961, 6.8201, 7.7147 Å; angles 90.00, 108.21, 90.00 degrees
Space group P2/m (No. 10)
Asymmetric unit:
Tm 0.0000 0.2441 0.0000 (multiplicity 2)
Tm 0.3369 0.2468 0.6734 (multiplicity 4)
Pd 0.1675 0.5000 0.3355 (multiplicity 2)
Pd 0.1676 0.0000 0.3347 (multiplicity 2)
Pd 0.5000 0.5000 0.0000 (multiplicity 1)
Ru 0.5000 0.0000 0.0000 (multiplicity 1)

Record 8
Structure and simulated PXRD pattern of TbEr12Ni6 (the PBE geometry in Alexandria; Cu Kα (weighted mean of Kα1 and Kα2)).
Neutral-atom scattering factors, no anomalous dispersion.

Top 10 peaks for 2θ from 5° to 70°, in order of rising 2θ:
2θ (°), Rel. int., hkl
28.96, 52.1, 3 1 0
31.79, 32.9, 2 2 2
34.41, 100.0, 3 2 1
36.87, 11.0, 4 0 0
39.20, 9.2, 3 3 0
47.55, 22.6, 5 1 0
54.90, 33.4, 5 0 3
56.64, 15.6, 6 0 0
58.34, 33.6, 5 3 2
67.98, 15.8, 5 4 3

Cell lengths 9.7508, 9.7508, 9.7508 Å; angles 90.00, 90.00, 90.00 degrees
Space group Im-3 (No. 204)
Asymmetric unit:
Tb 0.0000 0.0000 0.0000 (multiplicity 2)
Er 0.0000 0.1841 0.3107 (multiplicity 24)
Ni 0.0000 0.3759 0.5000 (multiplicity 12)

Record 9
Structure and simulated PXRD pattern of Th2Zn2Tc2C (the PBE geometry in Alexandria; Cu Kα (weighted mean of Kα1 and Kα2)).
Neutral-atom scattering factors, no anomalous dispersion.

Top 10 peaks for 2θ from 5° to 70°, in order of rising 2θ:
2θ (°), Rel. int., hkl
24.83, 24.2, 1 1 0
30.08, 30.1, 2 0 1
31.45, 24.6, 1 1 1
33.33, 34.8, 4 0 -1
33.57, 75.3, 3 1 -1
33.91, 100.0, 1 1 -2
37.43, 22.0, 3 1 0
39.30, 33.4, 4 0 -3
46.60, 27.6, 0 2 0
62.55, 22.6, 4 2 -3

Cell lengths 11.0211, 3.8981, 7.4433 Å; angles 90.00, 123.86, 90.00 degrees
Space group C2/m (No. 12)
Asymmetric unit:
Th 0.0708 0.0000 0.2875 (multiplicity 4)
Zn 0.1329 0.5000 0.6607 (multiplicity 4)
Tc 0.2007 0.5000 0.0644 (multiplicity 4)
C 0.0000 0.5000 0.0000 (multiplicity 2)

Record 10
Structure and simulated PXRD pattern of K5ZnCl8 (the PBE geometry in Alexandria; Cu Kα (weighted mean of Kα1 and Kα2)).
Neutral-atom scattering factors, no anomalous dispersion.

Top 10 peaks for 2θ from 5° to 70°, in order of rising 2θ:
2θ (°), Rel. int., hkl
13.64, 36.2, 1 1 0
23.23, 46.3, 2 1 1
27.06, 100.0, 1 0 3
30.40, 52.6, 3 0 1
30.80, 81.4, 3 1 0
33.47, 36.2, 1 2 3
35.25, 37.8, 1 3 2
39.27, 36.0, 2 0 4
44.12, 40.2, 2 4 0
48.33, 33.3, 1 4 3

Cell lengths 9.1813, 9.1813, 10.5925 Å; angles 90.00, 90.00, 90.00 degrees
Space group I-4 (No. 82)
Asymmetric unit:
K 0.0000 0.0000 0.0000 (multiplicity 2)
K 0.1360 0.7314 0.3830 (multiplicity 8)
Zn 0.0000 0.5000 0.7500 (multiplicity 2)
Cl 0.0473 0.7355 0.6779 (multiplicity 8)
Cl 0.0977 0.6956 0.0885 (multiplicity 8)

Record 11
Structure and simulated PXRD pattern of Li2Cd2ReO6 (the PBE geometry in Alexandria; Cu Kα (weighted mean of Kα1 and Kα2)).
Neutral-atom scattering factors, no anomalous dispersion.

Top 10 peaks for 2θ from 5° to 70°, in order of rising 2θ:
2θ (°), Rel. int., hkl
17.51, 100.0, 0 0 1
31.45, 40.0, 1 3 0
31.71, 15.7, 2 0 0
32.26, 22.4, 2 0 -1
34.17, 23.2, 1 3 -1
38.17, 39.4, 1 3 1
41.60, 15.9, 2 0 -2
44.85, 15.0, 1 3 -2
51.21, 13.2, 1 3 2
55.24, 11.6, 3 3 -1

Cell lengths 5.8259, 9.8813, 5.2269 Å; angles 90.00, 104.36, 90.00 degrees
Space group C2/m (No. 12)
Asymmetric unit:
Li 0.0000 0.1315 0.0000 (multiplicity 4)
Cd 0.0000 0.3389 0.5000 (multiplicity 4)
Re 0.0000 0.0000 0.5000 (multiplicity 2)
O 0.1842 0.1420 0.7140 (multiplicity 8)
O 0.2153 0.0000 0.2708 (multiplicity 4)

Record 12
Structure and simulated PXRD pattern of Na3Ca3AlAs4 (the PBE geometry in Alexandria; Cu Kα (weighted mean of Kα1 and Kα2)).
Neutral-atom scattering factors, no anomalous dispersion.

Top 10 peaks for 2θ from 5° to 70°, in order of rising 2θ:
2θ (°), Rel. int., hkl
10.79, 48.2, 1 0 0
24.65, 21.1, 0 0 2
24.97, 93.2, 2 0 1
31.40, 38.4, 2 1 1
33.05, 100.0, 2 0 2
35.09, 36.8, 3 0 1
38.00, 79.1, 2 2 0
38.26, 18.6, 2 1 2
43.58, 39.8, 2 0 3
45.82, 17.4, 2 2 2

Cell lengths 9.4713, 9.4713, 7.2246 Å; angles 90.00, 90.00, 120.00 degrees
Space group P6_3mc (No. 186)
Asymmetric unit:
Na 0.1374 0.2749 0.0000 (multiplicity 6)
Ca 0.0505 0.5252 0.3275 (multiplicity 6)
Al 0.3333 0.6667 0.7048 (multiplicity 2)
As 0.1901 0.3802 0.5984 (multiplicity 6)
As 0.3333 0.6667 0.0554 (multiplicity 2)